Entry 1:
Diffraction record for Ca6In5Sn. The XRD peak list is theoretical, not measured: it uses DFT lattice parameters and positions (PBE) and Cu Kα, 1.54184 Å.
No peak broadening, texture or thermal motion is included.

Largest 10 diffraction maxima, low angle first, 2θ from 10° to 90°:
Position (°2θ)	I_rel
22.97	10.6
23.13	20.7
32.84	100.0
33.01	19.8
47.28	13.8
58.53	14.3
58.67	13.8
58.84	14.1
68.82	8.6
78.62	8.5

Atomic structure:
abc: 8.6109 8.6109 7.7445
angles: 90.00 90.00 143.27
Fractional coordinates of all 12 atoms:
Ca 0.0000 0.0000 0.2455
Ca 0.0000 0.0000 0.7545
Ca 0.3351 0.6649 0.2505
Ca 0.3351 0.6649 0.7495
Ca 0.6649 0.3351 0.2505
Ca 0.6649 0.3351 0.7495
In 0.1676 0.8324 0.5000
In 0.1732 0.8268 0.0000
In 0.5000 0.5000 0.5000
In 0.8268 0.1732 0.0000
In 0.8324 0.1676 0.5000
Sn 0.5000 0.5000 0.0000


Entry 2:
Diffraction record for Y3Cu2Ag. The XRD peak list is theoretical, not measured: it uses DFT lattice parameters and positions (PBE) and Cu Kα, 1.54184 Å.
No peak broadening, texture or thermal motion is included.

Largest 10 diffraction maxima, low angle first, 2θ from 10° to 90°:
Position (°2θ)	I_rel
35.80	100.0
36.05	50.0
51.16	8.2
51.90	16.9
64.18	16.0
64.66	33.0
75.87	9.6
86.26	6.3
87.42	7.1
87.56	7.2

Atomic structure:
abc: 3.5234 3.5234 10.7123
angles: 90.00 90.00 90.00
Fractional coordinates of all 6 atoms:
Y 0.0000 0.0000 0.0000
Y 0.0000 0.0000 0.3218
Y 0.0000 0.0000 0.6782
Cu 0.5000 0.5000 0.1618
Cu 0.5000 0.5000 0.8382
Ag 0.5000 0.5000 0.5000


Entry 3:
Diffraction record for SmNpTe6. The XRD peak list is theoretical, not measured: it uses DFT lattice parameters and positions (PBE) and Cu Kα, 1.54184 Å.
No peak broadening, texture or thermal motion is included.

Largest 10 diffraction maxima, low angle first, 2θ from 10° to 90°:
Position (°2θ)	I_rel
13.30	23.9
26.78	39.4
29.03	27.0
30.58	100.0
33.48	50.9
37.45	44.2
41.24	57.7
49.85	28.7
59.73	19.4
68.60	19.3

Atomic structure:
abc: 4.3791 4.3781 26.6327
angles: 90.00 90.00 90.00
Fractional coordinates of all 16 atoms:
Sm 0.0000 0.0000 0.0000
Sm 0.0000 0.5000 0.5000
Np 0.5000 0.0000 0.6580
Np 0.5000 0.5000 0.1580
Te 0.0000 0.0000 0.1243
Te 0.0000 0.0000 0.4061
Te 0.0000 0.0000 0.7480
Te 0.0000 0.5000 0.2480
Te 0.0000 0.5000 0.6243
Te 0.0000 0.5000 0.9061
Te 0.5000 0.0000 0.2480
Te 0.5000 0.0000 0.5367
Te 0.5000 0.0000 0.9060
Te 0.5000 0.5000 0.0367
Te 0.5000 0.5000 0.4060
Te 0.5000 0.5000 0.7480


Entry 4:
Diffraction record for Th2Ge3Pt9. The XRD peak list is theoretical, not measured: it uses DFT lattice parameters and positions (PBE) and Cu Kα, 1.54184 Å.
No peak broadening, texture or thermal motion is included.

Largest 10 diffraction maxima, low angle first, 2θ from 10° to 90°:
Position (°2θ)	I_rel
36.74	61.5
37.04	61.7
37.35	54.3
38.12	13.1
39.40	100.0
45.83	13.7
69.70	14.2
70.08	11.4
71.45	12.5
84.79	12.8

Atomic structure:
abc: 7.9225 7.9225 10.3658
angles: 113.39 113.39 60.01
Fractional coordinates of all 28 atoms:
Th 0.0864 0.2579 0.2496
Th 0.2579 0.0864 0.7496
Th 0.7421 0.9136 0.2504
Th 0.9136 0.7421 0.7504
Ge 0.0000 0.5000 0.0000
Ge 0.1402 0.6839 0.5050
Ge 0.3161 0.8598 0.9950
Ge 0.5000 0.0000 0.5000
Ge 0.6839 0.1402 0.0050
Ge 0.8598 0.3161 0.4950
Pt 0.0184 0.8596 0.0808
Pt 0.1404 0.9816 0.4192
Pt 0.1978 0.3585 0.5761
Pt 0.2110 0.5846 0.2648
Pt 0.2978 0.4859 0.9303
Pt 0.3585 0.1978 0.0761
Pt 0.3681 0.6319 0.7500
Pt 0.4154 0.7890 0.2352
Pt 0.4859 0.2978 0.4303
Pt 0.5141 0.7022 0.5697
Pt 0.5846 0.2110 0.7648
Pt 0.6319 0.3681 0.2500
Pt 0.6415 0.8022 0.9239
Pt 0.7022 0.5141 0.0697
Pt 0.7890 0.4154 0.7352
Pt 0.8022 0.6415 0.4239
Pt 0.8596 0.0184 0.5808
Pt 0.9816 0.1404 0.9192


Entry 5:
Diffraction record for Pa4CoTc. The XRD peak list is theoretical, not measured: it uses DFT lattice parameters and positions (PBE) and Cu Kα, 1.54184 Å.
No peak broadening, texture or thermal motion is included.

Largest 10 diffraction maxima, low angle first, 2θ from 10° to 90°:
Position (°2θ)	I_rel
21.85	16.0
29.43	100.0
31.10	16.2
34.88	34.7
39.54	20.2
40.26	20.9
51.72	32.0
53.73	20.8
65.59	12.2
80.74	19.5

Atomic structure:
abc: 7.3393 7.3393 7.3393
angles: 112.69 112.69 103.20
Fractional coordinates of all 12 atoms:
Pa 0.1723 0.0000 0.1723
Pa 0.2458 0.5409 0.2951
Pa 0.2458 0.9506 0.7049
Pa 0.2909 0.4958 0.7951
Pa 0.7006 0.4958 0.2049
Pa 0.7500 0.0777 0.3277
Pa 0.7500 0.4223 0.6723
Pa 0.8277 0.0000 0.8277
Co 0.0252 0.5252 0.5000
Co 0.2752 0.2752 0.0000
Tc 0.4635 0.9635 0.5000
Tc 0.7135 0.7135 0.0000


Entry 6:
Diffraction record for TmMgTlSn. The XRD peak list is theoretical, not measured: it uses DFT lattice parameters and positions (PBE) and Cu Kα, 1.54184 Å.
No peak broadening, texture or thermal motion is included.

Largest 10 diffraction maxima, low angle first, 2θ from 10° to 90°:
Position (°2θ)	I_rel
19.12	18.1
27.39	15.4
33.62	100.0
36.83	19.6
38.80	17.0
41.32	14.3
54.56	12.8
64.30	15.7
66.96	15.2
70.44	12.1

Atomic structure:
abc: 4.3699 4.6421 4.8813
angles: 90.00 90.00 90.00
Fractional coordinates of all 4 atoms:
Tm 0.0000 0.0000 0.0000
Mg 0.0000 0.5000 0.5000
Tl 0.5000 0.0000 0.5000
Sn 0.5000 0.5000 0.0000


Entry 7:
Diffraction record for Ho4Tm5Sc. The XRD peak list is theoretical, not measured: it uses DFT lattice parameters and positions (PBE) and Cu Kα, 1.54184 Å.
No peak broadening, texture or thermal motion is included.

Largest 10 diffraction maxima, low angle first, 2θ from 10° to 90°:
Position (°2θ)	I_rel
29.56	34.4
29.99	52.6
31.81	100.0
32.04	28.1
32.90	60.1
35.14	23.7
35.31	32.5
36.64	23.8
38.44	22.4
52.09	22.8

Atomic structure:
abc: 9.6116 9.6116 9.3940
angles: 100.04 100.04 21.05
Fractional coordinates of all 10 atoms:
Ho 0.0686 0.0686 0.2802
Ho 0.3209 0.3209 0.4826
Ho 0.6791 0.6791 0.5174
Ho 0.9314 0.9314 0.7198
Tm 0.1132 0.1132 0.7871
Tm 0.2171 0.2171 0.1415
Tm 0.5000 0.5000 0.0000
Tm 0.7829 0.7829 0.8585
Tm 0.8868 0.8868 0.2129
Sc 0.5000 0.5000 0.5000


Entry 8:
Diffraction record for Mg5Si9. The XRD peak list is theoretical, not measured: it uses DFT lattice parameters and positions (PBE) and Cu Kα, 1.54184 Å.
No peak broadening, texture or thermal motion is included.

Largest 10 diffraction maxima, low angle first, 2θ from 10° to 90°:
Position (°2θ)	I_rel
31.51	100.0
33.31	64.7
33.55	46.9
34.26	66.5
35.95	67.4
36.60	62.5
38.45	72.0
38.81	88.9
48.77	46.6
50.30	50.5

Atomic structure:
abc: 5.8530 7.5043 13.5495
angles: 90.49 99.09 112.02
Fractional coordinates of all 28 atoms:
Mg 0.0000 0.0000 0.0000
Mg 0.0152 0.4305 0.1010
Mg 0.1870 0.7922 0.6370
Mg 0.3206 0.7592 0.8843
Mg 0.3564 0.4657 0.7385
Mg 0.4538 0.2416 0.1627
Mg 0.5595 0.2671 0.5978
Mg 0.6529 0.6653 0.1149
Mg 0.8323 0.1410 0.4351
Mg 0.9397 0.0574 0.2287
Si 0.1020 0.6444 0.4239
Si 0.1925 0.8291 0.1469
Si 0.3093 0.3811 0.9758
Si 0.3114 0.4354 0.2886
Si 0.3169 0.9043 0.3273
Si 0.3301 0.1018 0.7572
Si 0.3307 0.2001 0.4050
Si 0.4145 0.5899 0.5475
Si 0.5334 0.1971 0.9272
Si 0.5601 0.9864 0.0606
Si 0.6215 0.7648 0.3140
Si 0.6931 0.9412 0.5970
Si 0.7790 0.7146 0.8575
Si 0.7890 0.7409 0.4821
Si 0.8859 0.4036 0.2932
Si 0.9018 0.5257 0.7470
Si 0.9028 0.9969 0.7670
Si 0.9182 0.2851 0.8573


Entry 9:
Diffraction record for Er2Tm3In4. The XRD peak list is theoretical, not measured: it uses DFT lattice parameters and positions (PBE) and Cu Kα, 1.54184 Å.
No peak broadening, texture or thermal motion is included.

Largest 10 diffraction maxima, low angle first, 2θ from 10° to 90°:
Position (°2θ)	I_rel
29.65	18.7
29.84	14.7
30.36	19.7
32.02	100.0
32.97	59.5
34.78	14.8
37.71	23.0
42.73	19.3
50.27	18.1
69.15	13.5

Atomic structure:
abc: 8.5029 8.5029 9.5425
angles: 90.00 90.00 132.13
Fractional coordinates of all 18 atoms:
Er 0.1083 0.8917 0.9535
Er 0.3917 0.6083 0.4535
Er 0.6083 0.3917 0.5465
Er 0.8917 0.1083 0.0465
Tm 0.0000 0.0000 0.5000
Tm 0.0359 0.4641 0.7500
Tm 0.4641 0.0359 0.2500
Tm 0.5000 0.5000 0.0000
Tm 0.5359 0.9641 0.7500
Tm 0.9641 0.5359 0.2500
In 0.1932 0.8068 0.5284
In 0.2369 0.2631 0.7500
In 0.2631 0.2369 0.2500
In 0.3068 0.6932 0.0284
In 0.6932 0.3068 0.9716
In 0.7369 0.7631 0.7500
In 0.7631 0.7369 0.2500
In 0.8068 0.1932 0.4716


Entry 10:
Diffraction record for Nb2CrSe2S4. The XRD peak list is theoretical, not measured: it uses DFT lattice parameters and positions (PBE) and Cu Kα, 1.54184 Å.
No peak broadening, texture or thermal motion is included.

Largest 10 diffraction maxima, low angle first, 2θ from 10° to 90°:
Position (°2θ)	I_rel
12.82	100.0
31.14	33.7
33.80	14.2
35.74	16.3
38.12	46.3
40.86	10.8
43.92	14.3
47.25	31.7
55.40	21.6
57.12	11.4

Atomic structure:
abc: 3.3169 3.3169 20.7209
angles: 90.00 90.00 120.00
Fractional coordinates of all 9 atoms:
Nb 0.0000 0.0000 0.0000
Nb 0.3333 0.6667 0.3266
Cr 0.3333 0.6667 0.6752
Se 0.0000 0.0000 0.6007
Se 0.0000 0.0000 0.7496
S 0.0000 0.0000 0.2505
S 0.0000 0.0000 0.4029
S 0.3333 0.6667 0.0762
S 0.3333 0.6667 0.9237


Entry 11:
Diffraction record for PmDyFe. The XRD peak list is theoretical, not measured: it uses DFT lattice parameters and positions (PBE) and Cu Kα, 1.54184 Å.
No peak broadening, texture or thermal motion is included.

Largest 10 diffraction maxima, low angle first, 2θ from 10° to 90°:
Position (°2θ)	I_rel
28.36	89.5
29.67	71.7
32.08	100.0
35.48	63.4
38.58	32.6
39.57	30.5
41.45	32.3
51.83	25.5
54.13	28.6
54.94	26.9

Atomic structure:
abc: 6.9634 6.9634 7.3788
angles: 90.00 90.00 120.14
Fractional coordinates of all 12 atoms:
Pm 0.1978 0.8022 0.8874
Pm 0.3022 0.6978 0.3874
Pm 0.6978 0.3022 0.6126
Pm 0.8022 0.1978 0.1126
Dy 0.2079 0.2921 0.7500
Dy 0.2921 0.2079 0.2500
Dy 0.7079 0.7921 0.7500
Dy 0.7921 0.7079 0.2500
Fe 0.0906 0.9094 0.5424
Fe 0.4094 0.5906 0.0424
Fe 0.5906 0.4094 0.9576
Fe 0.9094 0.0906 0.4576


Entry 12:
Diffraction record for Pu2TlO6. The XRD peak list is theoretical, not measured: it uses DFT lattice parameters and positions (PBE) and Cu Kα, 1.54184 Å.
No peak broadening, texture or thermal motion is included.

Largest 10 diffraction maxima, low angle first, 2θ from 10° to 90°:
Position (°2θ)	I_rel
13.86	15.3
22.72	17.0
26.71	100.0
27.92	45.3
42.43	36.6
46.40	39.9
54.34	15.6
55.02	21.6
64.67	26.7
86.05	12.4

Atomic structure:
abc: 7.8280 7.8280 7.8280
angles: 60.00 60.00 60.00
Fractional coordinates of all 18 atoms:
Pu 0.0000 0.0000 0.0000
Pu 0.0000 0.0000 0.5000
Pu 0.0000 0.5000 0.0000
Pu 0.5000 0.0000 0.0000
Tl 0.3750 0.3750 0.3750
Tl 0.6250 0.6250 0.6250
O 0.0668 0.0668 0.6832
O 0.0668 0.6832 0.0668
O 0.0668 0.6832 0.6832
O 0.3168 0.3168 0.9332
O 0.3168 0.9332 0.3168
O 0.3168 0.9332 0.9332
O 0.6832 0.0668 0.0668
O 0.6832 0.0668 0.6832
O 0.6832 0.6832 0.0668
O 0.9332 0.3168 0.3168
O 0.9332 0.3168 0.9332
O 0.9332 0.9332 0.3168